# 1
Starting from a crystal structure in Alexandria, relaxed with GGA-PBE, the X-ray powder pattern of CaHo5Er12 was simulated for Cu Kα, 1.54184 Å.
Peak positions follow from Bragg's law for the DFT cell and can differ from measured ones.

Main lines, low angle first (5 to 70 degrees two-theta):
2θ 8.3, intensity 3; 2θ 11.8, intensity 2; 2θ 18.7, intensity 1; 2θ 31.0, intensity 100; 2θ 36.0, intensity 34; 2θ 36.1, intensity 17; 2θ 39.5, intensity 1; 2θ 51.8, intensity 12; 2θ 51.9, intensity 24; 2θ 61.6, intensity 28; 2θ 61.8, intensity 14; 2θ 64.7, intensity 12

Structural model:
abc: 10.587 4.980 10.600
angles: 90.00 90.04 90.00
Space group P2/m (No. 10)
Symmetry-distinct sites (fractional):
Ca 0.000 0.000 0.000
Ho 0.173 0.500 0.827
Ho 0.333 0.000 0.667
Ho 0.500 0.500 0.500
Er 0.000 0.000 0.338
Er 0.166 0.500 0.500
Er 0.173 0.500 0.173
Er 0.334 0.000 0.334
Er 0.338 0.000 0.000
Er 0.500 0.500 0.166

---

# 2
Starting from a crystal structure in Alexandria, relaxed with GGA-PBE, the X-ray powder pattern of CaHo4ErSe8 was simulated for Cu Kα, 1.54184 Å.
Peak positions follow from Bragg's law for the DFT cell and can differ from measured ones.

Main lines, low angle first (5 to 70 degrees two-theta):
2θ 12.9, intensity 36; 2θ 21.1, intensity 14; 2θ 24.8, intensity 85; 2θ 30.0, intensity 72; 2θ 39.3, intensity 49; 2θ 43.0, intensity 100; 2θ 45.1, intensity 10; 2θ 50.3, intensity 13; 2θ 53.3, intensity 18; 2θ 59.7, intensity 20; 2θ 62.4, intensity 16; 2θ 68.2, intensity 14

Structural model:
abc: 8.4180 8.4180 20.6075
angles: 90.00 90.00 120.00
Space group R3m (No. 160, hexagonal axes)
Symmetry-distinct sites (fractional):
Ca 0.0000 0.0000 0.0000
Ho 0.0000 0.0000 0.7501
Ho 0.0056 0.5028 0.8756
Er 0.0000 0.0000 0.3727
Se 0.0000 0.0000 0.1351
Se 0.0000 0.0000 0.6172
Se 0.0218 0.5109 0.1271
Se 0.1804 0.3608 0.9552

---

# 3
Starting from a crystal structure in Alexandria, relaxed with GGA-PBE, the X-ray powder pattern of CaHoEr4Se8 was simulated for Cu Kα, 1.54184 Å.
Peak positions follow from Bragg's law for the DFT cell and can differ from measured ones.

Main lines, low angle first (5 to 70 degrees two-theta):
2θ 12.9, intensity 36; 2θ 21.2, intensity 14; 2θ 24.9, intensity 86; 2θ 30.1, intensity 71; 2θ 39.4, intensity 49; 2θ 43.1, intensity 100; 2θ 45.2, intensity 10; 2θ 50.4, intensity 13; 2θ 53.4, intensity 18; 2θ 59.8, intensity 20; 2θ 62.6, intensity 16; 2θ 68.4, intensity 9

Structural model:
abc: 8.3951 8.3951 20.5923
angles: 90.00 90.00 120.00
Space group R3m (No. 160, hexagonal axes)
Symmetry-distinct sites (fractional):
Ca 0.0000 0.0000 0.0000
Ho 0.0000 0.0000 0.6276
Er 0.0000 0.0000 0.2504
Er 0.1694 0.3388 0.4580
Se 0.0000 0.0000 0.3832
Se 0.0000 0.0000 0.8648
Se 0.0267 0.5134 0.3792
Se 0.1768 0.3536 0.2058

---

# 4
Starting from a crystal structure in Alexandria, relaxed with GGA-PBE, the X-ray powder pattern of Ca3Ho3ErTe8 was simulated for Cu Kα, 1.54184 Å.
Peak positions follow from Bragg's law for the DFT cell and can differ from measured ones.

Main lines, low angle first (5 to 70 degrees two-theta):
2θ 12.1, intensity 24; 2θ 23.9, intensity 13; 2θ 28.7, intensity 100; 2θ 37.2, intensity 6; 2θ 40.6, intensity 39; 2θ 41.4, intensity 37; 2θ 43.3, intensity 7; 2θ 49.8, intensity 7; 2θ 51.1, intensity 20; 2θ 59.4, intensity 13; 2θ 66.7, intensity 17; 2θ 67.8, intensity 17

Structural model:
abc: 8.7258 8.7258 21.9700
angles: 90.00 90.00 120.00
Space group R-3m (No. 166, hexagonal axes)
Symmetry-distinct sites (fractional):
Ca 0.0000 0.5000 0.0000
Ho 0.0000 0.5000 0.5000
Er 0.0000 0.0000 0.5000
Te 0.0000 0.0000 0.2478
Te 0.0033 0.5016 0.7522

---

# 5
Starting from a crystal structure in Alexandria, relaxed with GGA-PBE, the X-ray powder pattern of CaHoEr2Tl4 was simulated for Cu Kα, 1.54184 Å.
Peak positions follow from Bragg's law for the DFT cell and can differ from measured ones.

Main lines, low angle first (5 to 70 degrees two-theta):
2θ 10.1, intensity 2; 2θ 19.4, intensity 2; 2θ 20.2, intensity 2; 2θ 23.4, intensity 5; 2θ 33.4, intensity 100; 2θ 39.3, intensity 1; 2θ 41.2, intensity 1; 2θ 47.9, intensity 18; 2θ 54.0, intensity 2; 2θ 59.6, intensity 29; 2θ 59.7, intensity 10; 2θ 70.0, intensity 6

Structural model:
abc: 5.3693 5.3693 26.3629
angles: 90.00 90.00 120.00
Space group R-3m (No. 166, hexagonal axes)
Symmetry-distinct sites (fractional):
Ca 0.0000 0.0000 0.0000
Ho 0.0000 0.0000 0.5000
Er 0.0000 0.0000 0.2517
Tl 0.0000 0.0000 0.1262
Tl 0.0000 0.0000 0.3765

---

# 6
Starting from a crystal structure in Alexandria, relaxed with GGA-PBE, the X-ray powder pattern of CaY4Ho2Er was simulated for Cu Kα, 1.54184 Å.
Peak positions follow from Bragg's law for the DFT cell and can differ from measured ones.

Main lines, low angle first (5 to 70 degrees two-theta):
2θ 9.9, intensity 31; 2θ 26.7, intensity 69; 2θ 29.9, intensity 50; 2θ 30.2, intensity 100; 2θ 40.5, intensity 44; 2θ 40.7, intensity 88; 2θ 53.7, intensity 10; 2θ 60.6, intensity 25; 2θ 60.9, intensity 13; 2θ 63.8, intensity 12; 2θ 63.9, intensity 22; 2θ 69.4, intensity 18

Structural model:
abc: 13.745 13.373 6.827
angles: 90.00 119.71 90.00
Space group C2/c (No. 15)
Symmetry-distinct sites (fractional):
Ca 0.000 0.000 0.000
Y 0.000 0.254 0.000
Y 0.234 0.499 0.481
Ho 0.000 0.500 0.000
Ho 0.250 0.250 0.000
Er 0.250 0.250 0.500